Starting from a cell relaxed with PBE, the powder diffractogram of SrEuAlBiO6 was simulated for Cu Kα (λ = 1.5418 Å).

Top 8 peaks for 10° ≤ 2θ ≤ 90°, in order of rising 2θ:
18.9°, 4.694 Å, I 36; 31.1°, 2.874 Å, I 100; 36.7°, 2.451 Å, I 25; 44.6°, 2.032 Å, I 31; 48.8°, 1.865 Å, I 12; 55.4°, 1.659 Å, I 41; 64.9°, 1.437 Å, I 19; 73.7°, 1.285 Å, I 18

```
10
Lattice="0.000 4.065 4.065 4.065 0.000 4.065 4.065 4.065 0.000" Properties=species:S:1:pos:R:3 pbc="T T T"
Sr 0.000 0.000 0.000
Eu 4.065 4.065 4.065
Al 6.097 6.097 6.097
Bi 2.032 2.032 2.032
O 6.097 6.097 4.175
O 6.097 4.175 6.097
O 8.019 6.097 6.097
O 4.175 6.097 6.097
O 6.097 8.019 6.097
O 6.097 6.097 8.019
```